1.
Starting from a DFT-relaxed cell (PBE, Alexandria), the powder diffractogram of Ac7Ge4Ir was computed for Cu Kα (weighted mean of Kα1 and Kα2).
Intensities are scaled so that the largest is 100.

Top 10 peaks for 2θ from 15° to 90°, in order of rising 2θ:
- 2θ 24.0, d 3.705, rel. 40.1
- 2θ 26.1, d 3.420, rel. 28.4
- 2θ 26.9, d 3.319, rel. 45.1
- 2θ 27.3, d 3.272, rel. 45.0
- 2θ 27.4, d 3.255, rel. 100.0
- 2θ 28.2, d 3.165, rel. 61.3
- 2θ 29.6, d 3.018, rel. 32.1
- 2θ 31.1, d 2.872, rel. 46.9
- 2θ 40.1, d 2.248, rel. 42.2
- 2θ 49.3, d 1.849, rel. 30.5

Atomic structure:
Cell lengths 7.7425, 7.7425, 13.2737 Å; angles 105.89, 105.89, 33.75 degrees
Atoms (fractional coordinates):
Ac 0.0000 0.0000 0.0000
Ac 0.2139 0.2139 0.8523
Ac 0.2931 0.2931 0.4130
Ac 0.5315 0.5315 0.2760
Ac 0.5942 0.5942 0.5822
Ac 0.7517 0.7517 0.1431
Ac 0.9117 0.9117 0.6841
Ge 0.2540 0.2540 0.6340
Ge 0.3725 0.3725 0.0645
Ge 0.5571 0.5571 0.8317
Ge 0.9503 0.9503 0.4289
Ir 0.1424 0.1424 0.2075

***

2.
Starting from a DFT-relaxed cell (PBE, Alexandria), the powder diffractogram of Nb2Pd8Rh was computed for Cu Kα (weighted mean of Kα1 and Kα2).
Intensities are scaled so that the largest is 100.

Top 10 peaks for 2θ from 15° to 90°, in order of rising 2θ:
- 2θ 39.3, d 2.294, rel. 100.0
- 2θ 44.6, d 2.033, rel. 16.6
- 2θ 45.5, d 1.994, rel. 16.8
- 2θ 46.9, d 1.938, rel. 14.7
- 2θ 65.6, d 1.424, rel. 10.2
- 2θ 67.4, d 1.390, rel. 9.7
- 2θ 78.5, d 1.219, rel. 5.3
- 2θ 78.6, d 1.217, rel. 5.6
- 2θ 79.8, d 1.201, rel. 12.1
- 2θ 81.9, d 1.176, rel. 5.4

Atomic structure:
Cell lengths 7.3762, 7.3762, 6.3945 Å; angles 106.75, 106.75, 31.37 degrees
Atoms (fractional coordinates):
Nb 0.2183 0.2183 0.1552
Nb 0.7817 0.7817 0.8448
Pd 0.0446 0.0446 0.2337
Pd 0.1444 0.1444 0.6997
Pd 0.3206 0.3206 0.5911
Pd 0.4046 0.4046 0.0522
Pd 0.5954 0.5954 0.9478
Pd 0.6794 0.6794 0.4089
Pd 0.8556 0.8556 0.3003
Pd 0.9554 0.9554 0.7663
Rh 0.5000 0.5000 0.5000

***

3.
Starting from a DFT-relaxed cell (PBE, Alexandria), the powder diffractogram of Ce3Ga2Co2P3 was computed for Cu Kα (weighted mean of Kα1 and Kα2).
Intensities are scaled so that the largest is 100.

Top 10 peaks for 2θ from 15° to 90°, in order of rising 2θ:
- 2θ 24.3, d 3.658, rel. 44.4
- 2θ 28.7, d 3.106, rel. 100.0
- 2θ 30.4, d 2.941, rel. 56.0
- 2θ 30.6, d 2.924, rel. 86.6
- 2θ 34.2, d 2.619, rel. 38.0
- 2θ 38.4, d 2.344, rel. 52.4
- 2θ 43.8, d 2.068, rel. 81.1
- 2θ 53.2, d 1.721, rel. 36.1
- 2θ 54.2, d 1.692, rel. 43.1
- 2θ 72.2, d 1.309, rel. 32.1

Atomic structure:
Cell lengths 12.1220, 12.1220, 12.1220 Å; angles 160.36, 160.36, 27.92 degrees
Atoms (fractional coordinates):
Ce 0.0000 0.0000 0.0000
Ce 0.3705 0.3705 0.0000
Ce 0.6295 0.6295 0.0000
Ga 0.2500 0.7500 0.5000
Ga 0.7500 0.2500 0.5000
Co 0.2027 0.2027 0.0000
Co 0.7973 0.7973 0.0000
P 0.1145 0.1145 0.0000
P 0.5000 0.5000 0.0000
P 0.8855 0.8855 0.0000

***

4.
Starting from a DFT-relaxed cell (PBE, Alexandria), the powder diffractogram of SnHgAsPb was computed for Cu Kα (weighted mean of Kα1 and Kα2).
Intensities are scaled so that the largest is 100.

Top 10 peaks for 2θ from 15° to 90°, in order of rising 2θ:
- 2θ 26.0, d 3.427, rel. 25.5
- 2θ 26.7, d 3.343, rel. 100.0
- 2θ 29.2, d 3.058, rel. 52.7
- 2θ 31.0, d 2.887, rel. 48.9
- 2θ 35.3, d 2.541, rel. 72.3
- 2θ 37.8, d 2.379, rel. 35.0
- 2θ 43.3, d 2.090, rel. 25.9
- 2θ 45.4, d 1.996, rel. 66.1
- 2θ 55.8, d 1.647, rel. 25.6
- 2θ 63.1, d 1.474, rel. 26.0

Atomic structure:
Cell lengths 6.9114, 3.9928, 9.0432 Å; angles 90.00, 104.72, 90.00 degrees
Atoms (fractional coordinates):
Sn 0.0000 0.0000 0.0000
Sn 0.5000 0.5000 0.0000
Hg 0.3896 0.5000 0.6699
Hg 0.8896 0.0000 0.6699
As 0.2216 0.5000 0.1654
As 0.7216 0.0000 0.1654
Pb 0.4700 0.0000 0.4148
Pb 0.9700 0.5000 0.4148

***

5.
Starting from a DFT-relaxed cell (PBE, Alexandria), the powder diffractogram of ThCoGe2 was computed for Cu Kα (weighted mean of Kα1 and Kα2).
Intensities are scaled so that the largest is 100.

Top 10 peaks for 2θ from 15° to 90°, in order of rising 2θ:
- 2θ 23.5, d 3.782, rel. 22.0
- 2θ 30.4, d 2.937, rel. 28.2
- 2θ 34.1, d 2.633, rel. 100.0
- 2θ 34.2, d 2.624, rel. 40.4
- 2θ 38.5, d 2.336, rel. 31.8
- 2θ 42.7, d 2.118, rel. 26.4
- 2θ 43.1, d 2.101, rel. 28.3
- 2θ 55.8, d 1.648, rel. 20.0
- 2θ 59.1, d 1.562, rel. 20.6
- 2θ 62.3, d 1.491, rel. 18.9

Atomic structure:
Cell lengths 4.2013, 16.8033, 4.2353 Å; angles 90.00, 90.00, 90.00 degrees
Atoms (fractional coordinates):
Th 0.0000 0.1094 0.2500
Th 0.0000 0.8906 0.7500
Th 0.5000 0.3906 0.7500
Th 0.5000 0.6094 0.2500
Co 0.0000 0.3196 0.2500
Co 0.0000 0.6804 0.7500
Co 0.5000 0.1804 0.7500
Co 0.5000 0.8196 0.2500
Ge 0.0000 0.2496 0.7500
Ge 0.0000 0.4572 0.2500
Ge 0.0000 0.5428 0.7500
Ge 0.0000 0.7504 0.2500
Ge 0.5000 0.0428 0.7500
Ge 0.5000 0.2504 0.2500
Ge 0.5000 0.7496 0.7500
Ge 0.5000 0.9572 0.2500

***

6.
Starting from a DFT-relaxed cell (PBE, Alexandria), the powder diffractogram of MgTePd was computed for Cu Kα (weighted mean of Kα1 and Kα2).
Intensities are scaled so that the largest is 100.

Top 10 peaks for 2θ from 15° to 90°, in order of rising 2θ:
- 2θ 23.0, d 3.873, rel. 26.9
- 2θ 23.1, d 3.849, rel. 50.3
- 2θ 25.8, d 3.447, rel. 83.9
- 2θ 32.8, d 2.730, rel. 38.7
- 2θ 40.6, d 2.222, rel. 92.8
- 2θ 42.1, d 2.144, rel. 100.0
- 2θ 47.2, d 1.927, rel. 25.7
- 2θ 48.8, d 1.868, rel. 14.6
- 2θ 60.0, d 1.543, rel. 34.8
- 2θ 74.9, d 1.267, rel. 35.6

Atomic structure:
Cell lengths 4.4414, 7.7459, 4.4442 Å; angles 90.00, 119.93, 90.00 degrees
Atoms (fractional coordinates):
Mg 0.9998 0.0000 0.0014
Mg 0.0002 0.5000 0.9986
Te 0.3332 0.2349 0.6661
Te 0.6667 0.7349 0.3339
Pd 0.3330 0.8892 0.6677
Pd 0.6670 0.3892 0.3323